Record 1
The following is a computed PXRD pattern of Zr9Re4O3. It was derived from a structure optimized by DFT (GGA-PBE), using Cu Kα, 1.54184 Å.

Most intense lines, 2θ = 15–90°, in order of rising 2θ:
two_theta  I_rel  h k l
33.25  26  1 0 3
36.37  16  3 0 0
37.87  91  3 0 1
38.25  100  2 1 2
39.52  41  2 0 3
41.63  18  0 0 4
63.47  19  3 2 3
65.44  21  3 3 0
65.76  28  3 0 5
66.68  17  5 0 2

Structural model:
a = 8.5574 Å, b = 8.5574 Å, c = 8.6778 Å
α = 90.00°, β = 90.00°, γ = 120.00°
Space group P6_3/mmc (No. 194)
One atom of each set of equivalent atoms:
Zr: 0.0941 0.5470 0.2500 [6 per cell]
Zr: 0.2020 0.4040 0.5616 [12 per cell]
Re: 0.0000 0.0000 0.0000 [2 per cell]
Re: 0.1077 0.2154 0.2500 [6 per cell]
O: 0.0000 0.5000 0.0000 [6 per cell]

***

Record 2
The following is a computed PXRD pattern of Ti4MnS8. It was derived from a structure optimized by DFT (GGA-PBE), using Cu Kα, 1.54184 Å.

Most intense lines, 2θ = 15–90°, in order of rising 2θ:
two_theta  I_rel  h k l
29.97  13  1 0 0
33.66  100  1 0 4
43.06  98  1 0 8
53.21  45  1 1 0
55.87  21  0 1 12
62.78  9  0 0 16
64.45  13  0 2 4
70.76  20  0 2 8
86.77  21  1 1 16
88.27  11  2 1 4

Structural model:
a = 3.4428 Å, b = 3.4428 Å, c = 23.6824 Å
α = 90.00°, β = 90.00°, γ = 120.00°
Space group P-3m1 (No. 164)
One atom of each set of equivalent atoms:
Ti: 0.0000 0.0000 0.1250 [2 per cell]
Ti: 0.0000 0.0000 0.3733 [2 per cell]
Mn: 0.0000 0.0000 0.5000 [1 per cell]
S: 0.3333 0.6667 0.0652 [2 per cell]
S: 0.3333 0.6667 0.3153 [2 per cell]
S: 0.3333 0.6667 0.5615 [2 per cell]
S: 0.3333 0.6667 0.8151 [2 per cell]

***

Record 3
The following is a computed PXRD pattern of Mg6NiC. It was derived from a structure optimized by DFT (GGA-PBE), using Cu Kα, 1.54184 Å.

Most intense lines, 2θ = 15–90°, in order of rising 2θ:
two_theta  I_rel  h k l
28.20  25  0 1 3
29.74  34  1 0 2
34.23  22  0 0 4
36.96  33  0 3 1
37.53  83  1 1 3
38.39  100  1 2 2
44.70  29  1 3 1
49.70  26  2 0 0
51.73  23  1 1 5
57.39  17  0 3 5

Structural model:
a = 3.6688 Å, b = 7.5016 Å, c = 10.4706 Å
α = 90.00°, β = 90.00°, γ = 90.00°
Space group Amm2 (No. 38)
One atom of each set of equivalent atoms:
Mg: 0.0000 0.0000 0.0000 [2 per cell]
Mg: 0.0000 0.1783 0.2608 [4 per cell]
Mg: 0.5000 0.0000 0.7781 [2 per cell]
Mg: 0.5000 0.1823 0.4927 [4 per cell]
Ni: 0.0000 0.0000 0.6186 [2 per cell]
C: 0.5000 0.0000 0.3114 [2 per cell]